Dy2PuRh9: simulated X-ray powder pattern (Cu Kα, 1.54184 Å), based on a structure optimized by DFT (GGA-PBE).
No peak broadening, texture or thermal motion is included.

The 12 most intense peaks (2θ = 10–90°), by intensity:
h k l	2θ (°)	I_rel
1 1 6	39.99	100
1 1 0	34.12	39
0 2 1	39.75	36
0 1 8	33.59	33
1 0 7	30.83	32
3 0 6	65.04	24
2 2 0	71.85	23
0 0 12	41.13	19
2 0 5	43.31	18
2 0 2	40.21	14
2 2 12	86.29	13
1 2 8	60.74	12

Crystal structure
abc: 5.2558 5.2558 26.3391
angles: 90.00 90.00 120.00
Space group R-3m (No. 166, hexagonal axes)
Inequivalent atoms, fractional coordinates:
Dy 0.0000 0.0000 0.1390 (multiplicity 6)
Pu 0.0000 0.0000 0.0000 (multiplicity 3)
Rh 0.0000 0.0000 0.3333 (multiplicity 6)
Rh 0.0000 0.0000 0.5000 (multiplicity 3)
Rh 0.0007 0.5003 0.9170 (multiplicity 18)

=====

Dy2Pu3Ru4: simulated X-ray powder pattern (Cu Kα, 1.54184 Å), based on a structure optimized by DFT (GGA-PBE).
No peak broadening, texture or thermal motion is included.

The 12 most intense peaks (2θ = 10–90°), by intensity:
h k l	2θ (°)	I_rel
1 0 3	34.79	100
1 1 0	39.48	78
0 2 3	53.63	29
2 1 3	68.60	28
0 1 2	28.56	18
0 1 6	59.12	15
3 0 0	71.62	14
1 1 5	60.88	12
1 2 6	86.74	11
2 2 0	85.00	9
0 1 1	24.14	9
0 0 2	17.38	8

Crystal structure
abc: 4.5645 4.5645 10.2072
angles: 90.00 90.00 120.00
Space group P-3m1 (No. 164)
Inequivalent atoms, fractional coordinates:
Dy 0.3333 0.6667 0.2165 (multiplicity 2)
Pu 0.0000 0.0000 0.0000 (multiplicity 1)
Pu 0.3333 0.6667 0.5740 (multiplicity 2)
Ru 0.0000 0.0000 0.3607 (multiplicity 2)
Ru 0.3333 0.6667 0.9210 (multiplicity 2)

=====

DyPu2Ru2: simulated X-ray powder pattern (Cu Kα, 1.54184 Å), based on a structure optimized by DFT (GGA-PBE).
No peak broadening, texture or thermal motion is included.

The 12 most intense peaks (2θ = 10–90°), by intensity:
h k l	2θ (°)	I_rel
1 1 2	36.65	100
0 2 0	35.90	29
1 3 2	65.00	19
0 0 5	36.85	16
0 1 3	28.29	15
0 2 5	52.39	12
2 2 -1	65.85	10
2 0 -1	53.19	9
3 1 1	89.97	8
2 2 4	77.91	8
1 0 0	26.13	6
1 2 5	62.09	6

Crystal structure
abc: 3.4439 5.0034 12.3172
angles: 90.00 98.03 90.00
Space group P2_1/m (No. 11)
Inequivalent atoms, fractional coordinates:
Dy 0.1399 0.2500 0.2807 (multiplicity 2)
Pu 0.0475 0.7500 0.0959 (multiplicity 2)
Pu 0.2329 0.7500 0.4653 (multiplicity 2)
Ru 0.3568 0.2500 0.7139 (multiplicity 2)
Ru 0.4591 0.7500 0.9178 (multiplicity 2)

=====

Dy2PuRu: simulated X-ray powder pattern (Cu Kα, 1.54184 Å), based on a structure optimized by DFT (GGA-PBE).
No peak broadening, texture or thermal motion is included.

The 12 most intense peaks (2θ = 10–90°), by intensity:
h k l	2θ (°)	I_rel
0 3 1	31.98	100
1 1 2	32.69	67
2 2 1	34.66	61
2 1 1	30.34	57
1 3 1	34.42	55
2 2 0	31.46	51
1 2 3	49.52	45
1 0 2	31.23	43
3 0 3	58.83	33
3 3 2	56.80	27
3 0 1	40.53	25
2 1 2	39.48	24

Crystal structure
abc: 7.1458 9.3901 6.2526
angles: 90.00 90.00 90.00
Space group Pnma (No. 62)
Inequivalent atoms, fractional coordinates:
Dy 0.1738 0.0638 0.1731 (multiplicity 8)
Pu 0.0472 0.2500 0.6536 (multiplicity 4)
Ru 0.1304 0.7500 0.9875 (multiplicity 4)

=====

DyPu3S4: simulated X-ray powder pattern (Cu Kα, 1.54184 Å), based on a structure optimized by DFT (GGA-PBE).
No peak broadening, texture or thermal motion is included.

The 12 most intense peaks (2θ = 10–90°), by intensity:
h k l	2θ (°)	I_rel
2 2 0	27.67	100
2 0 1	32.06	98
4 0 0	45.98	72
4 2 1	54.51	50
6 0 1	76.27	33
6 4 1	85.13	26
4 4 0	57.15	25
6 2 0	74.01	21
4 0 2	67.05	12
1 1 0	13.73	2
1 1 1	26.48	2
3 1 0	35.03	1

Crystal structure
abc: 7.8998 11.1603 3.9482
angles: 90.00 90.00 90.00
Space group Cmmm (No. 65)
Inequivalent atoms, fractional coordinates:
Dy 0.0000 0.0000 0.0000 (multiplicity 2)
Pu 0.0000 0.5000 0.0000 (multiplicity 2)
Pu 0.2500 0.2500 0.5000 (multiplicity 4)
S 0.0000 0.2494 0.0000 (multiplicity 4)
S 0.2482 0.0000 0.5000 (multiplicity 4)

=====

Dy4PuS5: simulated X-ray powder pattern (Cu Kα, 1.54184 Å), based on a structure optimized by DFT (GGA-PBE).
No peak broadening, texture or thermal motion is included.

The 12 most intense peaks (2θ = 10–90°), by intensity:
h k l	2θ (°)	I_rel
1 0 5	32.36	100
1 2 5	46.44	60
1 1 0	27.87	44
0 1 5	27.98	44
1 3 0	55.10	29
1 4 5	77.17	16
2 1 5	54.92	15
2 2 0	57.60	13
0 4 10	86.23	13
0 2 10	57.82	12
2 0 0	46.25	12
2 2 10	77.05	11

Crystal structure
abc: 3.9262 5.5265 19.5260
angles: 90.00 90.00 90.00
Space group Immm (No. 71)
Inequivalent atoms, fractional coordinates:
Dy 0.0000 0.0000 0.0992 (multiplicity 4)
Dy 0.0000 0.0000 0.3016 (multiplicity 4)
Pu 0.0000 0.0000 0.5000 (multiplicity 2)
S 0.0000 0.5000 0.1008 (multiplicity 4)
S 0.0000 0.5000 0.2996 (multiplicity 4)
S 0.0000 0.5000 0.5000 (multiplicity 2)

=====

Dy4PuS4: simulated X-ray powder pattern (Cu Kα, 1.54184 Å), based on a structure optimized by DFT (GGA-PBE).
No peak broadening, texture or thermal motion is included.

The 12 most intense peaks (2θ = 10–90°), by intensity:
h k l	2θ (°)	I_rel
1 2 1	28.10	100
3 1 0	32.55	95
3 1 2	46.70	69
5 0 1	55.40	48
3 1 4	77.62	31
2 4 4	86.72	24
2 4 2	58.09	24
5 0 3	75.31	20
0 0 4	68.19	11
1 0 1	19.09	6
3 0 1	34.98	2
2 3 1	40.85	1

Crystal structure
abc: 8.6980 8.6980 5.5006
angles: 90.00 90.00 90.00
Space group I4/m (No. 87)
Inequivalent atoms, fractional coordinates:
Dy 0.1029 0.6996 0.0000 (multiplicity 8)
Pu 0.0000 0.0000 0.5000 (multiplicity 2)
S 0.0980 0.6967 0.5000 (multiplicity 8)

=====

DyPu2ScS4: simulated X-ray powder pattern (Cu Kα, 1.54184 Å), based on a structure optimized by DFT (GGA-PBE).
No peak broadening, texture or thermal motion is included.

The 12 most intense peaks (2θ = 10–90°), by intensity:
h k l	2θ (°)	I_rel
1 1 1	32.65	100
2 0 0	28.25	64
1 1 -3	46.64	37
0 2 0	47.04	36
0 0 1	13.87	23
0 0 2	27.94	22
3 1 1	55.60	21
1 1 0	27.04	19
2 2 -2	58.43	19
0 2 4	77.57	16
1 3 1	78.17	16
1 3 -3	87.16	13

Crystal structure
abc: 6.6917 3.8634 6.7642
angles: 90.00 109.23 90.00
Space group P2/m (No. 10)
Inequivalent atoms, fractional coordinates:
Dy 0.0000 0.0000 0.0000 (multiplicity 1)
Pu 0.0000 0.5000 0.5000 (multiplicity 1)
Pu 0.5000 0.0000 0.5000 (multiplicity 1)
Sc 0.5000 0.5000 0.0000 (multiplicity 1)
S 0.2545 0.5000 0.2415 (multiplicity 2)
S 0.2619 0.0000 0.7637 (multiplicity 2)

=====

Sm2DyPuS4: simulated X-ray powder pattern (Cu Kα, 1.54184 Å), based on a structure optimized by DFT (GGA-PBE).
No peak broadening, texture or thermal motion is included.

The 12 most intense peaks (2θ = 10–90°), by intensity:
h k l	2θ (°)	I_rel
1 1 1	31.89	100
3 1 -1	45.72	49
2 0 0	27.45	44
1 1 -1	27.60	43
1 1 3	54.07	18
0 2 2	54.27	18
4 2 0	75.78	16
2 2 -2	56.99	13
2 0 2	45.51	12
0 2 0	45.90	12
2 2 2	66.65	12
4 2 -4	84.78	8

Crystal structure
abc: 6.8766 3.9538 6.8888
angles: 90.00 109.22 90.00
Space group P2/m (No. 10)
Inequivalent atoms, fractional coordinates:
Sm 0.0000 0.0000 0.0000 (multiplicity 1)
Sm 0.5000 0.5000 0.0000 (multiplicity 1)
Dy 0.0000 0.5000 0.5000 (multiplicity 1)
Pu 0.5000 0.0000 0.5000 (multiplicity 1)
S 0.2454 0.0000 0.7421 (multiplicity 2)
S 0.2506 0.5000 0.2567 (multiplicity 2)

=====

Dy2Pu3US6: simulated X-ray powder pattern (Cu Kα, 1.54184 Å), based on a structure optimized by DFT (GGA-PBE).
No peak broadening, texture or thermal motion is included.

The 12 most intense peaks (2θ = 10–90°), by intensity:
h k l	2θ (°)	I_rel
6 0 0	32.29	100
3 1 0	28.00	49
4 0 -2	27.61	26
2 0 2	27.89	25
7 1 -2	46.13	25
5 1 2	46.49	24
9 1 0	54.93	17
10 0 -2	54.58	13
6 2 0	57.87	13
2 0 -4	46.02	12
4 2 -2	55.07	12
0 2 0	46.66	12

Crystal structure
abc: 17.1489 3.8929 7.8897
angles: 90.00 103.89 90.00
Space group C2/m (No. 12)
Inequivalent atoms, fractional coordinates:
Dy 0.1641 0.0000 0.3280 (multiplicity 4)
Pu 0.0000 0.5000 0.5000 (multiplicity 2)
Pu 0.1666 0.0000 0.8329 (multiplicity 4)
U 0.0000 0.5000 0.0000 (multiplicity 2)
S 0.0000 0.0000 0.2493 (multiplicity 4)
S 0.1667 0.5000 0.0839 (multiplicity 4)
S 0.1684 0.5000 0.5802 (multiplicity 4)

=====

SmDyPu2Sb4: simulated X-ray powder pattern (Cu Kα, 1.54184 Å), based on a structure optimized by DFT (GGA-PBE).
No peak broadening, texture or thermal motion is included.

The 12 most intense peaks (2θ = 10–90°), by intensity:
h k l	2θ (°)	I_rel
1 1 1	28.52	100
2 0 2	40.77	77
0 0 4	50.47	21
4 2 -4	74.17	20
1 3 1	66.78	18
4 2 0	66.91	18
2 2 2	59.03	13
2 0 0	24.63	10
4 0 0	50.63	7
5 1 1	74.39	7
0 4 0	88.20	4
6 2 -2	88.45	4

Crystal structure
abc: 7.6511 4.4309 7.6749
angles: 90.00 109.52 90.00
Space group P2/m (No. 10)
Inequivalent atoms, fractional coordinates:
Sm 0.0000 0.0000 0.0000 (multiplicity 1)
Dy 0.0000 0.5000 0.5000 (multiplicity 1)
Pu 0.5000 0.0000 0.5000 (multiplicity 1)
Pu 0.5000 0.5000 0.0000 (multiplicity 1)
Sb 0.2514 0.0000 0.7478 (multiplicity 2)
Sb 0.2533 0.5000 0.2538 (multiplicity 2)

=====

Dy2PuThSb4: simulated X-ray powder pattern (Cu Kα, 1.54184 Å), based on a structure optimized by DFT (GGA-PBE).
No peak broadening, texture or thermal motion is included.

The 12 most intense peaks (2θ = 10–90°), by intensity:
h k l	2θ (°)	I_rel
1 1 1	28.48	100
0 2 0	40.67	39
2 0 2	40.77	38
0 0 4	50.40	21
1 3 1	66.67	18
4 2 0	66.82	18
1 3 -3	74.02	13
2 2 2	58.94	13
2 0 0	24.60	10
4 0 0	50.57	7
2 0 -6	74.11	7
5 1 1	74.28	7

Crystal structure
abc: 7.6614 4.4408 7.6794
angles: 90.00 109.55 90.00
Space group P2/m (No. 10)
Inequivalent atoms, fractional coordinates:
Dy 0.0000 0.0000 0.0000 (multiplicity 1)
Dy 0.0000 0.5000 0.5000 (multiplicity 1)
Pu 0.5000 0.0000 0.5000 (multiplicity 1)
Th 0.5000 0.5000 0.0000 (multiplicity 1)
Sb 0.2430 0.0000 0.7459 (multiplicity 2)
Sb 0.2455 0.5000 0.2506 (multiplicity 2)